# 1
Simulated X-ray powder pattern
Compound: La7SmEr12
Radiation: Cu Ka
Structure: a DFT-relaxed cell (GGA-PBE, Alexandria)
No peak broadening, texture or thermal motion is included.

Atomic structure:
abc: 9.8031 9.8031 9.8031
angles: 109.47 109.47 109.47
Fractional positions:
La 0.0000 0.0000 0.5000
La 0.0000 0.5000 0.0000
La 0.0000 0.5000 0.5000
La 0.5000 0.0000 0.0000
La 0.5000 0.0000 0.5000
La 0.5000 0.5000 0.0000
La 0.5000 0.5000 0.5000
Sm 0.0000 0.0000 0.0000
Er 0.0000 0.2477 0.7523
Er 0.0000 0.7523 0.2477
Er 0.2477 0.0000 0.7523
Er 0.2477 0.2477 0.4954
Er 0.2477 0.4954 0.2477
Er 0.2477 0.7523 0.0000
Er 0.4954 0.2477 0.2477
Er 0.5046 0.7523 0.7523
Er 0.7523 0.0000 0.2477
Er 0.7523 0.2477 0.0000
Er 0.7523 0.5046 0.7523
Er 0.7523 0.7523 0.5046

Main lines, sorted by position (10° ≤ 2θ ≤ 90°):
| d_spacing | two_theta | I (rel.) |
| --- | --- | --- |
| 5.660 | 15.66 | 23.9 |
| 4.002 | 22.21 | 10.4 |
| 3.268 | 27.29 | 81.1 |
| 2.830 | 31.62 | 100.0 |
| 2.531 | 35.46 | 13.0 |
| 2.001 | 45.32 | 74.1 |
| 1.707 | 53.71 | 37.6 |
| 1.634 | 56.31 | 26.0 |
| 1.415 | 66.03 | 12.0 |
| 1.298 | 72.84 | 15.2 |
| 1.266 | 75.06 | 33.2 |
| 1.155 | 83.72 | 25.2 |

---

# 2
Simulated X-ray powder pattern
Compound: Cd4GaHg3
Radiation: Cu Ka
Structure: a DFT-relaxed cell (GGA-PBE, Alexandria)
No peak broadening, texture or thermal motion is included.

Atomic structure:
abc: 5.9728 7.9639 7.9201
angles: 90.00 90.00 90.00
Fractional positions:
Cd 0.0000 0.9996 0.0000
Cd 0.0000 0.5004 0.0006
Cd 0.2500 0.2456 0.2500
Cd 0.2500 0.7544 0.7500
Cd 0.5000 0.0004 0.5000
Cd 0.5000 0.4996 0.5006
Cd 0.7500 0.2456 0.2500
Cd 0.7500 0.7544 0.7500
Ga 0.0000 0.9997 0.4997
Ga 0.5000 0.0003 0.9997
Hg 0.0000 0.5001 0.4996
Hg 0.2497 0.2404 0.7501
Hg 0.2503 0.7596 0.2501
Hg 0.5000 0.4999 0.9996
Hg 0.7503 0.2404 0.7501
Hg 0.7497 0.7596 0.2501

Main lines, sorted by position (10° ≤ 2θ ≤ 90°):
| d_spacing | two_theta | I (rel.) |
| --- | --- | --- |
| 5.616 | 15.78 | 8.5 |
| 2.808 | 31.87 | 78.2 |
| 2.387 | 37.69 | 100.0 |
| 1.991 | 45.56 | 14.3 |
| 1.980 | 45.83 | 14.4 |
| 1.528 | 60.59 | 24.1 |
| 1.525 | 60.75 | 24.3 |
| 1.404 | 66.61 | 9.7 |
| 1.318 | 71.57 | 15.0 |
| 1.259 | 75.55 | 6.2 |
| 1.253 | 75.94 | 6.4 |
| 1.207 | 79.36 | 5.7 |

---

# 3
Simulated X-ray powder pattern
Compound: Sr2Li5Pd12
Radiation: Cu Ka
Structure: a DFT-relaxed cell (GGA-PBE, Alexandria)
No peak broadening, texture or thermal motion is included.

Atomic structure:
abc: 6.9070 6.9070 6.9070
angles: 83.41 83.41 83.41
Fractional positions:
Sr 0.1501 0.1501 0.1501
Sr 0.8499 0.8499 0.8499
Li 0.0000 0.5000 0.5000
Li 0.4069 0.4069 0.4069
Li 0.5000 0.0000 0.5000
Li 0.5000 0.5000 0.0000
Li 0.5931 0.5931 0.5931
Pd 0.1580 0.1580 0.6432
Pd 0.1580 0.6432 0.1580
Pd 0.2067 0.5000 0.7933
Pd 0.2067 0.7933 0.5000
Pd 0.3568 0.8420 0.8420
Pd 0.5000 0.2067 0.7933
Pd 0.5000 0.7933 0.2067
Pd 0.6432 0.1580 0.1580
Pd 0.7933 0.2067 0.5000
Pd 0.7933 0.5000 0.2067
Pd 0.8420 0.3568 0.8420
Pd 0.8420 0.8420 0.3568

Main lines, sorted by position (10° ≤ 2θ ≤ 90°):
| d_spacing | two_theta | I (rel.) |
| --- | --- | --- |
| 4.595 | 19.32 | 43.6 |
| 3.412 | 26.11 | 31.4 |
| 2.934 | 30.47 | 28.9 |
| 2.653 | 33.78 | 22.9 |
| 2.548 | 35.23 | 50.7 |
| 2.298 | 39.21 | 20.3 |
| 2.275 | 39.62 | 100.0 |
| 2.211 | 40.82 | 34.8 |
| 2.039 | 44.44 | 47.1 |
| 1.968 | 46.13 | 17.4 |
| 1.447 | 64.37 | 13.4 |
| 1.326 | 71.07 | 12.6 |

---

# 4
Simulated X-ray powder pattern
Compound: Tb2Ni3Rh
Radiation: Cu Ka
Structure: a DFT-relaxed cell (GGA-PBE, Alexandria)
No peak broadening, texture or thermal motion is included.

Atomic structure:
abc: 5.2394 5.2394 5.2394
angles: 57.91 57.91 57.91
Fractional positions:
Tb 0.1227 0.1227 0.1227
Tb 0.8773 0.8773 0.8773
Ni 0.0000 0.5000 0.5000
Ni 0.5000 0.0000 0.5000
Ni 0.5000 0.5000 0.0000
Rh 0.5000 0.5000 0.5000

Main lines, sorted by position (10° ≤ 2θ ≤ 90°):
| d_spacing | two_theta | I (rel.) |
| --- | --- | --- |
| 2.617 | 34.26 | 42.5 |
| 2.537 | 35.39 | 65.5 |
| 2.242 | 40.23 | 60.9 |
| 2.191 | 41.21 | 100.0 |
| 2.166 | 41.69 | 32.8 |
| 2.082 | 43.47 | 27.8 |
| 1.527 | 60.62 | 13.8 |
| 1.480 | 62.81 | 14.6 |
| 1.401 | 66.80 | 26.6 |
| 1.388 | 67.49 | 22.6 |
| 1.309 | 72.19 | 23.4 |
| 1.268 | 74.87 | 21.2 |

---

# 5
Simulated X-ray powder pattern
Compound: Ho5SbP4
Radiation: Cu Ka
Structure: a DFT-relaxed cell (GGA-PBE, Alexandria)
No peak broadening, texture or thermal motion is included.

Atomic structure:
abc: 7.0498 7.0498 10.0165
angles: 118.34 118.34 33.25
Fractional positions:
Ho 0.0000 0.0000 0.0000
Ho 0.2062 0.2062 0.8145
Ho 0.3909 0.3909 0.6112
Ho 0.6091 0.6091 0.3888
Ho 0.7938 0.7938 0.1855
Sb 0.0000 0.0000 0.5000
P 0.2024 0.2024 0.2951
P 0.4023 0.4023 0.1007
P 0.5977 0.5977 0.8993
P 0.7976 0.7976 0.7049

Main lines, sorted by position (10° ≤ 2θ ≤ 90°):
| d_spacing | two_theta | I (rel.) |
| --- | --- | --- |
| 3.339 | 26.70 | 13.2 |
| 3.323 | 26.83 | 13.4 |
| 3.304 | 26.99 | 29.0 |
| 2.873 | 31.13 | 100.0 |
| 2.042 | 44.36 | 11.3 |
| 2.036 | 44.50 | 23.7 |
| 2.029 | 44.67 | 24.2 |
| 2.017 | 44.94 | 12.4 |
| 1.734 | 52.81 | 10.2 |
| 1.652 | 55.64 | 12.8 |
| 1.289 | 73.46 | 9.2 |
| 1.285 | 73.71 | 10.0 |

---

# 6
Simulated X-ray powder pattern
Compound: Rb2PrPaSe4
Radiation: Cu Ka
Structure: a DFT-relaxed cell (GGA-PBE, Alexandria)
No peak broadening, texture or thermal motion is included.

Atomic structure:
abc: 7.4808 4.2959 8.4569
angles: 90.00 106.94 90.00
Fractional positions:
Rb 0.0000 0.0000 0.0000
Rb 0.5000 0.5000 0.0000
Pr 0.0000 0.5000 0.5000
Pa 0.5000 0.0000 0.5000
Se 0.2454 0.0000 0.7037
Se 0.2756 0.5000 0.2992
Se 0.7244 0.5000 0.7008
Se 0.7546 0.0000 0.2963

Main lines, sorted by position (10° ≤ 2θ ≤ 90°):
| d_spacing | two_theta | I (rel.) |
| --- | --- | --- |
| 8.090 | 10.94 | 33.7 |
| 3.178 | 28.08 | 100.0 |
| 2.540 | 35.34 | 12.5 |
| 2.360 | 38.13 | 12.3 |
| 2.350 | 38.30 | 24.2 |
| 2.157 | 41.89 | 23.6 |
| 2.148 | 42.07 | 11.8 |
| 1.898 | 47.94 | 8.8 |
| 1.780 | 51.34 | 12.4 |
| 1.589 | 58.05 | 10.7 |
| 1.473 | 63.13 | 8.2 |
| 1.375 | 68.21 | 10.3 |

---

# 7
Simulated X-ray powder pattern
Compound: PmIrPd
Radiation: Cu Ka
Structure: a DFT-relaxed cell (GGA-PBE, Alexandria)
No peak broadening, texture or thermal motion is included.

Atomic structure:
abc: 5.4666 5.4666 5.4666
angles: 120.63 120.25 89.24
Fractional positions:
Pm 0.3776 0.1276 0.2500
Pm 0.6224 0.8724 0.7500
Ir 0.0000 0.5000 0.5000
Ir 0.5000 0.5000 0.0000
Pd 0.0000 0.0000 0.5000
Pd 0.0000 0.5000 0.0000

Main lines, sorted by position (10° ≤ 2θ ≤ 90°):
| d_spacing | two_theta | I (rel.) |
| --- | --- | --- |
| 4.445 | 19.98 | 23.1 |
| 2.733 | 32.77 | 40.2 |
| 2.707 | 33.09 | 23.4 |
| 2.340 | 38.47 | 79.3 |
| 2.322 | 38.78 | 100.0 |
| 2.314 | 38.91 | 53.3 |
| 2.231 | 40.43 | 47.9 |
| 2.222 | 40.60 | 44.4 |
| 1.496 | 62.03 | 19.3 |
| 1.481 | 62.75 | 25.8 |
| 1.477 | 62.93 | 24.5 |
| 1.367 | 68.69 | 43.2 |

---

# 8
Simulated X-ray powder pattern
Compound: SrYCdHg
Radiation: Cu Ka
Structure: a DFT-relaxed cell (GGA-PBE, Alexandria)
No peak broadening, texture or thermal motion is included.

Atomic structure:
abc: 5.4722 5.4722 5.4722
angles: 60.00 60.00 60.00
Fractional positions:
Sr 0.0000 0.0000 0.0000
Y 0.5000 0.5000 0.5000
Cd 0.7500 0.7500 0.7500
Hg 0.2500 0.2500 0.2500

Main lines, sorted by position (10° ≤ 2θ ≤ 90°):
| d_spacing | two_theta | I (rel.) |
| --- | --- | --- |
| 4.468 | 19.87 | 6.2 |
| 3.869 | 22.98 | 8.8 |
| 2.736 | 32.73 | 100.0 |
| 2.333 | 38.59 | 3.9 |
| 2.234 | 40.37 | 2.9 |
| 1.935 | 46.97 | 18.1 |
| 1.730 | 52.91 | 4.0 |
| 1.580 | 58.42 | 37.5 |
| 1.368 | 68.60 | 11.6 |
| 1.290 | 73.41 | 2.0 |
| 1.224 | 78.11 | 16.1 |
| 1.117 | 87.29 | 4.2 |

---

# 9
Simulated X-ray powder pattern
Compound: TbPmEr14
Radiation: Cu Ka
Structure: a DFT-relaxed cell (GGA-PBE, Alexandria)
No peak broadening, texture or thermal motion is included.

Atomic structure:
abc: 11.3642 7.0696 7.0696
angles: 60.05 90.00 90.00
Fractional positions:
Tb 0.0000 0.0000 0.0000
Pm 0.0000 0.4999 0.4999
Er 0.0000 0.0001 0.5001
Er 0.0000 0.5001 0.0001
Er 0.2507 0.1672 0.1672
Er 0.2524 0.1666 0.6672
Er 0.2524 0.6672 0.1666
Er 0.2517 0.6673 0.6673
Er 0.5000 0.3339 0.3339
Er 0.5000 0.3340 0.8343
Er 0.5000 0.8343 0.3340
Er 0.5000 0.8339 0.8339
Er 0.7476 0.1666 0.6672
Er 0.7476 0.6672 0.1666
Er 0.7483 0.6673 0.6673
Er 0.7493 0.1672 0.1672

Main lines, sorted by position (10° ≤ 2θ ≤ 90°):
| d_spacing | two_theta | I (rel.) |
| --- | --- | --- |
| 2.957 | 30.23 | 41.6 |
| 2.841 | 31.49 | 33.9 |
| 2.696 | 33.24 | 100.0 |
| 2.381 | 37.78 | 23.0 |
| 1.825 | 49.97 | 10.4 |
| 1.768 | 51.71 | 25.6 |
| 1.611 | 57.19 | 21.3 |
| 1.501 | 61.81 | 29.9 |
| 1.478 | 62.87 | 16.1 |
| 1.420 | 65.76 | 8.7 |
| 1.134 | 85.65 | 14.0 |
| 1.107 | 88.25 | 14.4 |

---

# 10
Simulated X-ray powder pattern
Compound: PmPr2YPt2
Radiation: Cu Ka
Structure: a DFT-relaxed cell (GGA-PBE, Alexandria)
No peak broadening, texture or thermal motion is included.

Atomic structure:
abc: 8.6812 8.6812 8.6812
angles: 133.26 68.27 133.23
Fractional positions:
Pm 0.2500 0.2500 0.0000
Pm 0.7500 0.7500 0.0000
Pr 0.1916 0.7260 0.9177
Pr 0.3084 0.2260 0.5344
Pr 0.6916 0.7740 0.4656
Pr 0.8084 0.2740 0.0823
Y 0.2500 0.7500 0.5000
Y 0.7500 0.2500 0.5000
Pt 0.1113 0.2616 0.3729
Pt 0.3887 0.7616 0.1503
Pt 0.6113 0.2384 0.8497
Pt 0.8887 0.7384 0.6271

Main lines, sorted by position (10° ≤ 2θ ≤ 90°):
| d_spacing | two_theta | I (rel.) |
| --- | --- | --- |
| 4.032 | 22.05 | 32.6 |
| 3.445 | 25.87 | 56.1 |
| 3.106 | 28.74 | 71.1 |
| 2.891 | 30.93 | 67.8 |
| 2.486 | 36.12 | 86.7 |
| 2.436 | 36.91 | 100.0 |
| 2.149 | 42.04 | 55.3 |
| 1.863 | 48.89 | 35.6 |
| 1.722 | 53.18 | 33.9 |
| 1.612 | 57.16 | 43.0 |
| 1.416 | 65.97 | 15.6 |
| 1.238 | 77.05 | 17.2 |

---

# 11
Simulated X-ray powder pattern
Compound: Na14In2S9
Radiation: Cu Ka
Structure: a DFT-relaxed cell (GGA-PBE, Alexandria)
No peak broadening, texture or thermal motion is included.

Atomic structure:
abc: 8.1149 8.1149 11.2792
angles: 90.00 90.00 120.00
Fractional positions:
Na 0.0000 0.0000 0.2476
Na 0.0000 0.0000 0.7524
Na 0.0269 0.6774 0.4090
Na 0.0483 0.3700 0.0921
Na 0.3216 0.9517 0.0921
Na 0.3226 0.3495 0.4090
Na 0.3495 0.0269 0.5910
Na 0.3700 0.3216 0.9079
Na 0.6300 0.6784 0.0921
Na 0.6505 0.9731 0.4090
Na 0.6774 0.6505 0.5910
Na 0.6784 0.0483 0.9079
Na 0.9517 0.6300 0.9079
Na 0.9731 0.3226 0.5910
In 0.3333 0.6667 0.7572
In 0.6667 0.3333 0.2428
S 0.0000 0.0000 0.5000
S 0.0370 0.3431 0.8394
S 0.3062 0.9630 0.8394
S 0.3333 0.6667 0.5194
S 0.3431 0.3062 0.1606
S 0.6569 0.6938 0.8394
S 0.6667 0.3333 0.4806
S 0.6938 0.0370 0.1606
S 0.9630 0.6569 0.1606

Main lines, sorted by position (10° ≤ 2θ ≤ 90°):
| d_spacing | two_theta | I (rel.) |
| --- | --- | --- |
| 5.965 | 14.85 | 100.0 |
| 3.818 | 23.30 | 34.3 |
| 3.760 | 23.66 | 15.3 |
| 3.355 | 26.57 | 23.2 |
| 3.315 | 26.89 | 24.9 |
| 3.294 | 27.07 | 23.4 |
| 2.586 | 34.70 | 32.6 |
| 2.343 | 38.43 | 68.4 |
| 2.316 | 38.89 | 74.5 |
| 1.921 | 47.33 | 12.1 |
| 1.647 | 55.83 | 21.2 |
| 1.347 | 69.81 | 18.1 |

---

# 12
Simulated X-ray powder pattern
Compound: Ho4Mg3Tc
Radiation: Cu Ka
Structure: a DFT-relaxed cell (GGA-PBE, Alexandria)
No peak broadening, texture or thermal motion is included.

Atomic structure:
abc: 3.5486 3.5486 16.0556
angles: 90.00 90.00 90.00
Fractional positions:
Ho 0.0000 0.0000 0.0988
Ho 0.0000 0.0000 0.3700
Ho 0.0000 0.0000 0.6300
Ho 0.0000 0.0000 0.9012
Mg 0.5000 0.5000 0.2382
Mg 0.5000 0.5000 0.5000
Mg 0.5000 0.5000 0.7618
Tc 0.5000 0.5000 0.0000

Main lines, sorted by position (10° ≤ 2θ ≤ 90°):
| d_spacing | two_theta | I (rel.) |
| --- | --- | --- |
| 8.028 | 11.02 | 15.6 |
| 5.352 | 16.56 | 12.1 |
| 4.014 | 22.15 | 20.2 |
| 3.549 | 25.09 | 41.0 |
| 2.659 | 33.71 | 100.0 |
| 2.509 | 35.78 | 51.1 |
| 2.128 | 42.49 | 15.3 |
| 1.926 | 47.18 | 13.3 |
| 1.774 | 51.51 | 18.1 |
| 1.587 | 58.13 | 8.4 |
| 1.567 | 58.93 | 11.2 |
| 1.476 | 62.98 | 32.7 |